Theoretical X-ray powder pattern of Tm2Sc7 for Cu Kα, from a crystal structure in Alexandria, relaxed with PBE.
Peak positions follow from Bragg's law for the DFT cell and can differ from measured ones.

Atomic structure:
```
9
Lattice="5.730 0.000 0.000 -2.865 4.962 0.000 0.000 0.000 8.114" Properties=species:S:1:pos:R:3 pbc="T T T"
Tm 0.000 3.308 0.000
Tm 2.865 1.654 0.000
Sc 0.000 0.000 0.000
Sc -0.949 1.643 5.366
Sc -1.916 3.318 2.748
Sc 1.898 0.000 5.366
Sc 0.949 1.643 2.748
Sc 3.832 0.000 2.748
Sc 1.916 3.318 5.366
```

The 10 most intense peaks (2θ from 15° to 90°), by angle:
(1 0 0), 17.88 deg, I 10
(1 0 1), 20.99 deg, I 15
(0 0 2), 21.91 deg, I 10
(1 1 0), 31.22 deg, I 11
(1 1 1), 33.15 deg, I 100
(2 -1 2), 38.47 deg, I 50
(1 1 3), 46.16 deg, I 8
(3 0 0), 55.53 deg, I 32
(4 -2 1), 66.23 deg, I 36
(2 2 2), 69.61 deg, I 8